Entry 1:
The following is a simulated X-ray diffraction stick pattern of CeEr2Ga6. It was derived from a DFT-relaxed cell (GGA-PBE, Alexandria), using Cu Kα (λ = 1.5418 Å).
Lines closer than 0.1° are merged.

Principal peaks in the range 2θ from 15° to 90°, by angle:
2theta, d_spacing, I (rel.)
24.31, 3.661, 14
32.83, 2.728, 100
42.78, 2.114, 42
44.28, 2.046, 13
49.82, 1.830, 2
51.15, 1.786, 4
54.95, 1.671, 23
63.26, 1.470, 26
72.05, 1.311, 20
74.20, 1.278, 9
78.36, 1.220, 7
89.65, 1.094, 6

Structure:
a b c (Å): 7.322 7.322 4.091
angles (deg): 90.00 90.00 120.00
Atoms (fractional coordinates):
Ce: 0.000 0.000 0.000
Er: 0.333 0.667 0.000
Er: 0.667 0.333 0.000
Ga: 0.000 0.334 0.500
Ga: 0.000 0.666 0.500
Ga: 0.334 0.000 0.500
Ga: 0.334 0.334 0.500
Ga: 0.666 0.000 0.500
Ga: 0.666 0.666 0.500

Entry 2:
The following is a simulated X-ray diffraction stick pattern of Li3AsPd4. It was derived from a DFT-relaxed cell (GGA-PBE, Alexandria), using Cu Kα (λ = 1.5418 Å).
Lines closer than 0.1° are merged.

Principal peaks in the range 2θ from 15° to 90°, by angle:
2theta, d_spacing, I (rel.)
18.57, 4.779, 40
19.35, 4.588, 19
25.03, 3.557, 16
27.17, 3.282, 49
32.03, 2.794, 23
33.65, 2.663, 19
39.27, 2.294, 18
39.98, 2.255, 100
42.81, 2.112, 65
43.77, 2.068, 41
49.51, 1.841, 27
55.53, 1.655, 14

Structure:
a b c (Å): 9.032 4.779 5.327
angles (deg): 90.00 90.00 90.00
Atoms (fractional coordinates):
Li: 0.000 0.196 0.000
Li: 0.249 0.510 0.469
Li: 0.251 0.490 0.969
Li: 0.500 0.804 0.500
Li: 0.749 0.490 0.969
Li: 0.751 0.510 0.469
As: 0.000 0.714 0.700
As: 0.500 0.286 0.200
Pd: 0.000 0.222 0.502
Pd: 0.000 0.710 0.195
Pd: 0.240 0.969 0.752
Pd: 0.260 0.031 0.252
Pd: 0.500 0.290 0.695
Pd: 0.500 0.778 0.002
Pd: 0.740 0.031 0.252
Pd: 0.760 0.969 0.752

Entry 3:
The following is a simulated X-ray diffraction stick pattern of BaNpF5. It was derived from a DFT-relaxed cell (GGA-PBE, Alexandria), using Cu Kα (λ = 1.5418 Å).
Lines closer than 0.1° are merged.

Principal peaks in the range 2θ from 15° to 90°, by angle:
2theta, d_spacing, I (rel.)
16.84, 5.266, 22
21.82, 4.073, 75
24.87, 3.580, 100
25.81, 3.451, 39
27.26, 3.272, 64
34.05, 2.633, 52
38.54, 2.336, 31
43.33, 2.088, 26
44.96, 2.016, 23
46.42, 1.956, 29
48.39, 1.881, 18
58.09, 1.588, 20

Structure:
a b c (Å): 5.370 5.370 9.064
angles (deg): 96.18 96.18 79.99
Atoms (fractional coordinates):
Ba: 0.004 0.996 0.750
Ba: 0.996 0.004 0.250
Np: 0.500 0.500 0.000
Np: 0.500 0.500 0.500
F: 0.089 0.723 0.994
F: 0.128 0.460 0.353
F: 0.277 0.911 0.506
F: 0.399 0.601 0.750
F: 0.460 0.128 0.853
F: 0.540 0.872 0.147
F: 0.601 0.399 0.250
F: 0.723 0.089 0.494
F: 0.872 0.540 0.647
F: 0.911 0.277 0.006

Entry 4:
The following is a simulated X-ray diffraction stick pattern of Mg4TlIn7. It was derived from a DFT-relaxed cell (GGA-PBE, Alexandria), using Cu Kα (λ = 1.5418 Å).
Lines closer than 0.1° are merged.

Principal peaks in the range 2θ from 15° to 90°, by angle:
2theta, d_spacing, I (rel.)
23.84, 3.733, 10
30.16, 2.963, 9
32.37, 2.766, 100
36.09, 2.489, 17
36.81, 2.442, 9
38.68, 2.328, 51
53.28, 1.719, 23
58.34, 1.582, 14
63.73, 1.460, 14
66.05, 1.415, 17
67.75, 1.383, 10
87.68, 1.113, 12

Structure:
a b c (Å): 3.439 3.439 29.865
angles (deg): 90.00 90.00 120.00
Atoms (fractional coordinates):
Mg: 0.333 0.667 0.177
Mg: 0.333 0.667 0.420
Mg: 0.667 0.333 0.580
Mg: 0.667 0.333 0.823
Tl: 0.000 0.000 0.000
In: 0.000 0.000 0.257
In: 0.000 0.000 0.500
In: 0.000 0.000 0.743
In: 0.333 0.667 0.659
In: 0.333 0.667 0.906
In: 0.667 0.333 0.094
In: 0.667 0.333 0.341

Entry 5:
The following is a simulated X-ray diffraction stick pattern of TcPt2W. It was derived from a DFT-relaxed cell (GGA-PBE, Alexandria), using Cu Kα (λ = 1.5418 Å).
Lines closer than 0.1° are merged.

Principal peaks in the range 2θ from 15° to 90°, by angle:
2theta, d_spacing, I (rel.)
16.26, 5.451, 3
39.67, 2.272, 100
44.21, 2.049, 18
47.08, 1.930, 31
66.56, 1.405, 22
68.65, 1.367, 5
68.90, 1.363, 5
78.27, 1.221, 14
82.34, 1.171, 12
82.52, 1.169, 12
85.36, 1.137, 6
85.59, 1.135, 6

Structure:
a b c (Å): 2.734 4.097 5.451
angles (deg): 90.00 90.00 90.00
Atoms (fractional coordinates):
Tc: 0.000 0.000 0.000
Pt: 0.500 0.500 0.249
Pt: 0.500 0.500 0.751
W: 0.000 0.000 0.500

Entry 6:
The following is a simulated X-ray diffraction stick pattern of PuMgIO6. It was derived from a DFT-relaxed cell (GGA-PBE, Alexandria), using Cu Kα (λ = 1.5418 Å).
Lines closer than 0.1° are merged.

Principal peaks in the range 2θ from 15° to 90°, by angle:
2theta, d_spacing, I (rel.)
18.37, 4.828, 63
19.65, 4.517, 86
20.86, 4.258, 31
27.03, 3.299, 89
32.11, 2.788, 75
37.93, 2.372, 100
42.45, 2.129, 26
52.12, 1.755, 63
54.21, 1.692, 29
57.24, 1.609, 28
61.13, 1.516, 25
71.17, 1.325, 19

Structure:
a b c (Å): 5.575 5.575 9.035
angles (deg): 90.00 90.00 120.00
Atoms (fractional coordinates):
Pu: 0.333 0.667 0.250
Pu: 0.667 0.333 0.750
Mg: 0.000 0.000 0.000
Mg: 0.000 0.000 0.500
I: 0.333 0.667 0.750
I: 0.667 0.333 0.250
O: 0.005 0.343 0.630
O: 0.005 0.662 0.870
O: 0.338 0.343 0.870
O: 0.338 0.995 0.630
O: 0.343 0.005 0.130
O: 0.343 0.338 0.370
O: 0.657 0.662 0.630
O: 0.657 0.995 0.870
O: 0.662 0.005 0.370
O: 0.662 0.657 0.130
O: 0.995 0.338 0.130
O: 0.995 0.657 0.370

Entry 7:
The following is a simulated X-ray diffraction stick pattern of Rb2NiWCl6. It was derived from a DFT-relaxed cell (GGA-PBE, Alexandria), using Cu Kα (λ = 1.5418 Å).
Lines closer than 0.1° are merged.

Principal peaks in the range 2θ from 15° to 90°, by angle:
2theta, d_spacing, I (rel.)
15.03, 5.896, 48
16.18, 5.476, 28
22.97, 3.872, 65
25.46, 3.498, 100
32.70, 2.738, 82
39.64, 2.273, 24
41.90, 2.156, 50
46.31, 1.961, 20
46.93, 1.936, 27
52.30, 1.749, 40
63.07, 1.474, 21
68.04, 1.378, 18

Structure:
a b c (Å): 7.118 7.118 7.118
angles (deg): 114.08 114.08 100.60
Atoms (fractional coordinates):
Rb: 0.250 0.750 0.500
Rb: 0.750 0.250 0.500
Ni: 0.000 0.000 0.000
W: 0.500 0.500 0.000
Cl: 0.234 0.234 0.000
Cl: 0.276 0.276 0.552
Cl: 0.276 0.724 0.000
Cl: 0.724 0.276 0.000
Cl: 0.724 0.724 0.448
Cl: 0.766 0.766 0.000

Entry 8:
The following is a simulated X-ray diffraction stick pattern of K2Tl4Bi3. It was derived from a DFT-relaxed cell (GGA-PBE, Alexandria), using Cu Kα (λ = 1.5418 Å).
Lines closer than 0.1° are merged.

Principal peaks in the range 2θ from 15° to 90°, by angle:
2theta, d_spacing, I (rel.)
16.42, 5.399, 47
27.73, 3.217, 18
28.44, 3.138, 45
29.46, 3.032, 21
29.67, 3.011, 30
31.77, 2.817, 100
33.38, 2.684, 60
34.97, 2.566, 33
37.90, 2.374, 15
39.15, 2.301, 40
53.49, 1.713, 36
65.40, 1.427, 18

Structure:
a b c (Å): 10.030 10.030 10.265
angles (deg): 90.00 90.00 140.74
Atoms (fractional coordinates):
K: 0.103 0.897 0.908
K: 0.397 0.603 0.408
K: 0.603 0.397 0.592
K: 0.897 0.103 0.092
Tl: 0.179 0.821 0.514
Tl: 0.185 0.315 0.750
Tl: 0.315 0.185 0.250
Tl: 0.321 0.679 0.014
Tl: 0.679 0.321 0.986
Tl: 0.685 0.815 0.750
Tl: 0.815 0.685 0.250
Tl: 0.821 0.179 0.486
Bi: 0.000 0.000 0.500
Bi: 0.014 0.486 0.750
Bi: 0.486 0.014 0.250
Bi: 0.500 0.500 0.000
Bi: 0.514 0.986 0.750
Bi: 0.986 0.514 0.250

Entry 9:
The following is a simulated X-ray diffraction stick pattern of Cu6As. It was derived from a DFT-relaxed cell (GGA-PBE, Alexandria), using Cu Kα (λ = 1.5418 Å).
Lines closer than 0.1° are merged.

Principal peaks in the range 2θ from 15° to 90°, by angle:
2theta, d_spacing, I (rel.)
31.91, 2.805, 1
43.31, 2.089, 100
43.70, 2.072, 99
62.41, 1.488, 1
63.21, 1.471, 30
79.18, 1.210, 15
80.00, 1.199, 29
80.27, 1.196, 15

Structure:
a b c (Å): 6.456 6.456 6.456
angles (deg): 37.43 37.43 37.43
Atoms (fractional coordinates):
Cu: 0.067 0.067 0.067
Cu: 0.215 0.215 0.215
Cu: 0.355 0.355 0.355
Cu: 0.645 0.645 0.645
Cu: 0.785 0.785 0.785
Cu: 0.933 0.933 0.933
As: 0.500 0.500 0.500

Entry 10:
The following is a simulated X-ray diffraction stick pattern of Sm3Al2Ge3. It was derived from a DFT-relaxed cell (GGA-PBE, Alexandria), using Cu Kα (λ = 1.5418 Å).
Lines closer than 0.1° are merged.

Principal peaks in the range 2θ from 15° to 90°, by angle:
2theta, d_spacing, I (rel.)
23.23, 3.828, 19
28.86, 3.094, 16
31.71, 2.822, 38
32.09, 2.789, 17
32.30, 2.771, 32
33.16, 2.701, 100
34.22, 2.620, 19
36.52, 2.460, 21
36.71, 2.448, 39
42.76, 2.115, 30
49.13, 1.854, 15
61.15, 1.515, 18

Structure:
a b c (Å): 6.062 6.062 14.764
angles (deg): 90.00 90.00 139.16
Atoms (fractional coordinates):
Sm: 0.063 0.937 0.614
Sm: 0.063 0.937 0.886
Sm: 0.354 0.646 0.750
Sm: 0.646 0.354 0.250
Sm: 0.937 0.063 0.114
Sm: 0.937 0.063 0.386
Al: 0.223 0.777 0.103
Al: 0.223 0.777 0.397
Al: 0.777 0.223 0.603
Al: 0.777 0.223 0.897
Ge: 0.362 0.638 0.250
Ge: 0.380 0.620 0.541
Ge: 0.380 0.620 0.959
Ge: 0.620 0.380 0.041
Ge: 0.620 0.380 0.459
Ge: 0.638 0.362 0.750